# RbPu2TlO8
Simulated X-ray powder pattern, Cu Kα (λ = 1.5418 Å). Input: a crystal structure in Alexandria, relaxed with PBE.
Kinematic intensities with the Lorentz-polarization factor, no thermal factor.

Atomic structure:
a b c (Å): 6.0916 6.0916 7.2584
angles (deg): 90.00 90.00 120.00
Atoms (fractional coordinates):
Rb 0.0000 0.0000 0.0000
Pu 0.3333 0.6667 0.4400
Pu 0.6667 0.3333 0.5600
Tl 0.0000 0.0000 0.5000
O 0.0570 0.3746 0.6208
O 0.3175 0.9430 0.6208
O 0.3333 0.6667 0.1824
O 0.3746 0.3175 0.3792
O 0.6254 0.6825 0.6208
O 0.6667 0.3333 0.8176
O 0.6825 0.0570 0.3792
O 0.9430 0.6254 0.3792

Main lines, by angle (15 to 90 degrees two-theta):
| d/Å | two_theta | I/Imax |
| --- | --- | --- |
| 4.267 | 20.82 | 31 |
| 3.629 | 24.53 | 35 |
| 3.046 | 29.32 | 100 |
| 2.990 | 29.88 | 25 |
| 2.809 | 31.86 | 74 |
| 2.333 | 38.59 | 65 |
| 1.758 | 52.00 | 27 |
| 1.716 | 53.39 | 18 |
| 1.709 | 53.63 | 24 |
| 1.583 | 58.31 | 20 |

***

# K2FeI4
Simulated X-ray powder pattern, Cu Kα (λ = 1.5418 Å). Input: a crystal structure in Alexandria, relaxed with PBE.
Kinematic intensities with the Lorentz-polarization factor, no thermal factor.

Atomic structure:
a b c (Å): 8.4050 8.4050 12.0332
angles (deg): 90.00 90.00 90.00
Atoms (fractional coordinates):
K 0.0000 0.5000 0.2500
K 0.0000 0.5000 0.7500
K 0.5000 0.0000 0.2500
K 0.5000 0.0000 0.7500
Fe 0.0000 0.0000 0.0000
Fe 0.5000 0.5000 0.5000
I 0.1896 0.1896 0.8860
I 0.1896 0.8104 0.1140
I 0.3104 0.3104 0.3860
I 0.3104 0.6896 0.6140
I 0.6896 0.3104 0.6140
I 0.6896 0.6896 0.3860
I 0.8104 0.1896 0.1140
I 0.8104 0.8104 0.8860

Main lines, by angle (15 to 90 degrees two-theta):
| d/Å | two_theta | I/Imax |
| --- | --- | --- |
| 4.228 | 21.01 | 100 |
| 3.588 | 24.82 | 29 |
| 2.972 | 30.07 | 16 |
| 2.743 | 32.65 | 28 |
| 2.729 | 32.82 | 12 |
| 2.662 | 33.67 | 13 |
| 2.446 | 36.74 | 27 |
| 2.289 | 39.37 | 19 |
| 2.010 | 45.11 | 12 |
| 1.817 | 50.20 | 14 |

***

# Dy3Er7Cd
Simulated X-ray powder pattern, Cu Kα (λ = 1.5418 Å). Input: a crystal structure in Alexandria, relaxed with PBE.
Kinematic intensities with the Lorentz-polarization factor, no thermal factor.

Atomic structure:
a b c (Å): 6.8925 6.8925 8.4625
angles (deg): 90.00 90.00 120.00
Atoms (fractional coordinates):
Dy 0.1683 0.3366 0.0000
Dy 0.1683 0.8317 0.0000
Dy 0.6634 0.8317 0.0000
Er 0.0061 0.5030 0.6608
Er 0.3319 0.1660 0.3368
Er 0.3333 0.6667 0.3292
Er 0.4970 0.5030 0.6608
Er 0.4970 0.9939 0.6608
Er 0.8340 0.1660 0.3368
Er 0.8340 0.6681 0.3368
Cd 0.0000 0.0000 0.6598

Main lines, by angle (15 to 90 degrees two-theta):
| d/Å | two_theta | I/Imax |
| --- | --- | --- |
| 4.878 | 18.19 | 6 |
| 2.816 | 31.77 | 100 |
| 2.439 | 36.85 | 51 |
| 1.725 | 53.11 | 35 |
| 1.471 | 63.21 | 31 |
| 1.470 | 63.28 | 10 |
| 1.407 | 66.43 | 9 |
| 1.219 | 78.42 | 6 |
| 1.118 | 87.17 | 9 |
| 1.091 | 89.88 | 8 |

***

# Pr4SmDyEr2
Simulated X-ray powder pattern, Cu Kα (λ = 1.5418 Å). Input: a crystal structure in Alexandria, relaxed with PBE.
Kinematic intensities with the Lorentz-polarization factor, no thermal factor.

Atomic structure:
a b c (Å): 5.1564 5.1829 10.1069
angles (deg): 90.00 90.00 90.00
Atoms (fractional coordinates):
Pr 0.0000 0.0000 0.2483
Pr 0.0000 0.0000 0.7517
Pr 0.5000 0.5000 0.2489
Pr 0.5000 0.5000 0.7511
Sm 0.5000 0.0000 0.5000
Dy 0.0000 0.5000 0.0000
Er 0.0000 0.5000 0.5000
Er 0.5000 0.0000 0.0000

Main lines, by angle (15 to 90 degrees two-theta):
| d/Å | two_theta | I/Imax |
| --- | --- | --- |
| 2.962 | 30.17 | 100 |
| 2.591 | 34.61 | 17 |
| 2.578 | 34.80 | 17 |
| 2.527 | 35.53 | 16 |
| 1.828 | 49.90 | 12 |
| 1.809 | 50.44 | 12 |
| 1.558 | 59.30 | 15 |
| 1.553 | 59.54 | 15 |
| 1.530 | 60.52 | 14 |
| 1.481 | 62.74 | 12 |

***

# TiSCl6O
Simulated X-ray powder pattern, Cu Kα (λ = 1.5418 Å). Input: a crystal structure in Alexandria, relaxed with PBE.
Kinematic intensities with the Lorentz-polarization factor, no thermal factor.

Atomic structure:
a b c (Å): 6.8837 8.1156 11.5450
angles (deg): 69.85 78.30 69.53
Atoms (fractional coordinates):
Ti 0.1476 0.4240 0.3578
Ti 0.8524 0.5760 0.6422
S 0.3215 0.2314 0.7934
S 0.6785 0.7686 0.2066
Cl 0.0825 0.6705 0.4540
Cl 0.0930 0.2232 0.2858
Cl 0.2308 0.2566 0.9715
Cl 0.2378 0.9986 0.8177
Cl 0.2738 0.5977 0.1829
Cl 0.4409 0.2545 0.4409
Cl 0.5591 0.7455 0.5591
Cl 0.7262 0.4023 0.8171
Cl 0.7622 0.0014 0.1823
Cl 0.7692 0.7434 0.0285
Cl 0.9070 0.7768 0.7142
Cl 0.9175 0.3295 0.5460
O 0.1831 0.3883 0.7094
O 0.8169 0.6117 0.2906

Main lines, by angle (15 to 90 degrees two-theta):
| d/Å | two_theta | I/Imax |
| --- | --- | --- |
| 5.757 | 15.39 | 100 |
| 5.123 | 17.31 | 25 |
| 3.952 | 22.50 | 26 |
| 3.819 | 23.29 | 19 |
| 3.785 | 23.50 | 54 |
| 3.160 | 28.24 | 39 |
| 3.034 | 29.44 | 20 |
| 2.814 | 31.80 | 25 |
| 2.686 | 33.36 | 35 |
| 2.528 | 35.51 | 31 |

***

# Fe6C7
Simulated X-ray powder pattern, Cu Kα (λ = 1.5418 Å). Input: a crystal structure in Alexandria, relaxed with PBE.
Kinematic intensities with the Lorentz-polarization factor, no thermal factor.

Atomic structure:
a b c (Å): 8.6233 8.6233 8.6233
angles (deg): 26.93 26.93 26.93
Atoms (fractional coordinates):
Fe 0.0712 0.0712 0.0712
Fe 0.1912 0.1912 0.1912
Fe 0.3538 0.3538 0.3538
Fe 0.6462 0.6462 0.6462
Fe 0.8088 0.8088 0.8088
Fe 0.9288 0.9288 0.9288
C 0.0138 0.3911 0.3911
C 0.3911 0.0138 0.3911
C 0.3911 0.3911 0.0138
C 0.5000 0.5000 0.5000
C 0.6089 0.6089 0.9862
C 0.6089 0.9862 0.6089
C 0.9862 0.6089 0.6089

Main lines, by angle (15 to 90 degrees two-theta):
| d/Å | two_theta | I/Imax |
| --- | --- | --- |
| 3.350 | 26.61 | 13 |
| 3.037 | 29.41 | 14 |
| 2.488 | 36.11 | 100 |
| 2.320 | 38.81 | 17 |
| 2.008 | 45.15 | 81 |
| 1.898 | 47.93 | 26 |
| 1.563 | 59.13 | 32 |
| 1.518 | 61.02 | 9 |
| 1.233 | 77.39 | 20 |
| 1.159 | 83.35 | 13 |

***

# KCr2Pt
Simulated X-ray powder pattern, Cu Kα (λ = 1.5418 Å). Input: a crystal structure in Alexandria, relaxed with PBE.
Kinematic intensities with the Lorentz-polarization factor, no thermal factor.

Atomic structure:
a b c (Å): 3.0444 3.0444 8.3378
angles (deg): 90.00 90.00 90.00
Atoms (fractional coordinates):
K 0.0000 0.0000 0.0000
Cr 0.0000 0.0000 0.4937
Cr 0.5000 0.5000 0.6479
Pt 0.5000 0.5000 0.3029

Main lines, by angle (15 to 90 degrees two-theta):
| d/Å | two_theta | I/Imax |
| --- | --- | --- |
| 3.044 | 29.34 | 28 |
| 2.860 | 31.28 | 53 |
| 2.779 | 32.21 | 26 |
| 2.459 | 36.55 | 100 |
| 2.153 | 41.97 | 54 |
| 2.084 | 43.41 | 34 |
| 2.053 | 44.12 | 55 |
| 1.702 | 53.87 | 24 |
| 1.294 | 73.12 | 25 |
| 1.223 | 78.18 | 20 |

***

# Rb2NaTl6In
Simulated X-ray powder pattern, Cu Kα (λ = 1.5418 Å). Input: a crystal structure in Alexandria, relaxed with PBE.
Kinematic intensities with the Lorentz-polarization factor, no thermal factor.

Atomic structure:
a b c (Å): 8.3606 8.3606 8.3606
angles (deg): 60.00 60.00 60.00
Atoms (fractional coordinates):
Rb 0.2500 0.2500 0.2500
Rb 0.7500 0.7500 0.7500
Na 0.0000 0.0000 0.0000
Tl 0.2510 0.2510 0.7490
Tl 0.2510 0.7490 0.2510
Tl 0.2510 0.7490 0.7490
Tl 0.7490 0.2510 0.2510
Tl 0.7490 0.2510 0.7490
Tl 0.7490 0.7490 0.2510
In 0.5000 0.5000 0.5000

Main lines, by angle (15 to 90 degrees two-theta):
| d/Å | two_theta | I/Imax |
| --- | --- | --- |
| 3.413 | 26.11 | 100 |
| 2.956 | 30.24 | 79 |
| 2.644 | 33.91 | 14 |
| 2.090 | 43.29 | 60 |
| 1.782 | 51.25 | 49 |
| 1.707 | 53.71 | 21 |
| 1.356 | 69.28 | 20 |
| 1.322 | 71.35 | 27 |
| 1.207 | 79.41 | 21 |
| 1.138 | 85.31 | 16 |

***

# Ce8In3Pt
Simulated X-ray powder pattern, Cu Kα (λ = 1.5418 Å). Input: a crystal structure in Alexandria, relaxed with PBE.
Kinematic intensities with the Lorentz-polarization factor, no thermal factor.

Atomic structure:
a b c (Å): 6.0944 7.4579 7.4618
angles (deg): 90.30 108.34 108.37
Atoms (fractional coordinates):
Ce 0.0000 0.0000 0.0000
Ce 0.9998 0.4616 0.5383
Ce 0.3149 0.8375 0.3766
Ce 0.3497 0.2949 0.8327
Ce 0.7390 0.1866 0.2102
Ce 0.7395 0.6728 0.7237
Ce 0.9907 0.4763 0.0149
Ce 0.9934 0.0003 0.5386
In 0.3670 0.3244 0.3710
In 0.3672 0.8326 0.8628
In 0.6657 0.6563 0.1947
Pt 0.6798 0.1511 0.6897

Main lines, by angle (15 to 90 degrees two-theta):
| d/Å | two_theta | I/Imax |
| --- | --- | --- |
| 2.644 | 33.90 | 56 |
| 2.630 | 34.09 | 51 |
| 2.619 | 34.24 | 100 |
| 2.588 | 34.66 | 96 |
| 1.865 | 48.84 | 35 |
| 1.818 | 50.19 | 14 |
| 1.522 | 60.86 | 33 |
| 1.516 | 61.15 | 17 |
| 1.504 | 61.65 | 15 |
| 1.498 | 61.95 | 14 |

***

# Np2S2Br
Simulated X-ray powder pattern, Cu Kα (λ = 1.5418 Å). Input: a crystal structure in Alexandria, relaxed with PBE.
Kinematic intensities with the Lorentz-polarization factor, no thermal factor.

Atomic structure:
a b c (Å): 4.9688 4.9688 16.1157
angles (deg): 90.00 90.00 120.00
Atoms (fractional coordinates):
Np 0.0000 0.0000 0.0902
Np 0.0000 0.0000 0.9098
Np 0.3333 0.6667 0.5765
Np 0.3333 0.6667 0.7569
Np 0.6667 0.3333 0.2431
Np 0.6667 0.3333 0.4235
S 0.0000 0.0000 0.2615
S 0.0000 0.0000 0.7385
S 0.3333 0.6667 0.4052
S 0.3333 0.6667 0.9282
S 0.6667 0.3333 0.0718
S 0.6667 0.3333 0.5948
Br 0.0000 0.0000 0.5000
Br 0.3333 0.6667 0.1667
Br 0.6667 0.3333 0.8333

Main lines, by angle (15 to 90 degrees two-theta):
| d/Å | two_theta | I/Imax |
| --- | --- | --- |
| 4.157 | 21.37 | 90 |
| 3.796 | 23.44 | 35 |
| 2.686 | 33.36 | 20 |
| 2.580 | 34.78 | 89 |
| 2.484 | 36.16 | 100 |
| 2.030 | 44.64 | 20 |
| 1.824 | 50.01 | 39 |
| 1.789 | 51.04 | 30 |
| 1.452 | 64.14 | 31 |
| 1.434 | 65.02 | 18 |

***

# Si23Mo3
Simulated X-ray powder pattern, Cu Kα (λ = 1.5418 Å). Input: a crystal structure in Alexandria, relaxed with PBE.
Kinematic intensities with the Lorentz-polarization factor, no thermal factor.

Atomic structure:
a b c (Å): 10.1464 10.1464 10.1464
angles (deg): 90.00 90.00 90.00
Atoms (fractional coordinates):
Si 0.0000 0.1164 0.3102
Si 0.0000 0.1164 0.6898
Si 0.0000 0.2500 0.5000
Si 0.0000 0.7500 0.5000
Si 0.0000 0.8836 0.3102
Si 0.0000 0.8836 0.6898
Si 0.1164 0.3102 0.0000
Si 0.1164 0.6898 0.0000
Si 0.1841 0.1841 0.1841
Si 0.1841 0.1841 0.8159
Si 0.1841 0.8159 0.1841
Si 0.1841 0.8159 0.8159
Si 0.1898 0.3836 0.5000
Si 0.1898 0.6164 0.5000
Si 0.2500 0.5000 0.0000
Si 0.3102 0.0000 0.1164
Si 0.3102 0.0000 0.8836
Si 0.3159 0.3159 0.3159
Si 0.3159 0.3159 0.6841
Si 0.3159 0.6841 0.3159
Si 0.3159 0.6841 0.6841
Si 0.3836 0.5000 0.1898
Si 0.3836 0.5000 0.8102
Si 0.5000 0.0000 0.2500
Si 0.5000 0.0000 0.7500
Si 0.5000 0.1898 0.3836
Si 0.5000 0.1898 0.6164
Si 0.5000 0.8102 0.3836
Si 0.5000 0.8102 0.6164
Si 0.6164 0.5000 0.1898
Si 0.6164 0.5000 0.8102
Si 0.6841 0.3159 0.3159
Si 0.6841 0.3159 0.6841
Si 0.6841 0.6841 0.3159
Si 0.6841 0.6841 0.6841
Si 0.6898 0.0000 0.1164
Si 0.6898 0.0000 0.8836
Si 0.7500 0.5000 0.0000
Si 0.8102 0.3836 0.5000
Si 0.8102 0.6164 0.5000
Si 0.8159 0.1841 0.1841
Si 0.8159 0.1841 0.8159
Si 0.8159 0.8159 0.1841
Si 0.8159 0.8159 0.8159
Si 0.8836 0.3102 0.0000
Si 0.8836 0.6898 0.0000
Mo 0.0000 0.5000 0.2500
Mo 0.0000 0.5000 0.7500
Mo 0.2500 0.0000 0.5000
Mo 0.5000 0.2500 0.0000
Mo 0.5000 0.7500 0.0000
Mo 0.7500 0.0000 0.5000

Main lines, by angle (15 to 90 degrees two-theta):
| d/Å | two_theta | I/Imax |
| --- | --- | --- |
| 4.538 | 19.56 | 27 |
| 3.209 | 27.80 | 22 |
| 2.929 | 30.52 | 87 |
| 2.814 | 31.80 | 86 |
| 2.712 | 33.03 | 100 |
| 2.537 | 35.39 | 26 |
| 1.884 | 48.30 | 18 |
| 1.740 | 52.59 | 62 |
| 1.691 | 54.24 | 19 |
| 1.646 | 55.86 | 42 |

***

# Pr4Bi2Sb
Simulated X-ray powder pattern, Cu Kα (λ = 1.5418 Å). Input: a crystal structure in Alexandria, relaxed with PBE.
Kinematic intensities with the Lorentz-polarization factor, no thermal factor.

Atomic structure:
a b c (Å): 8.4060 8.4060 8.4060
angles (deg): 109.61 109.61 109.20
Atoms (fractional coordinates):
Pr 0.1178 0.2300 0.7470
Pr 0.1208 0.7330 0.7530
Pr 0.2670 0.0200 0.3878
Pr 0.4830 0.3708 0.2530
Pr 0.6292 0.8822 0.1122
Pr 0.6322 0.8792 0.6122
Pr 0.7700 0.5170 0.8878
Pr 0.9800 0.3678 0.2470
Bi 0.2534 0.6250 0.1284
Bi 0.3750 0.5034 0.6284
Bi 0.4966 0.1250 0.8716
Bi 0.8750 0.7466 0.3716
Sb 0.0000 0.0000 0.0000
Sb 0.7500 0.2500 0.5000

Main lines, by angle (15 to 90 degrees two-theta):
| d/Å | two_theta | I/Imax |
| --- | --- | --- |
| 3.078 | 29.01 | 44 |
| 3.065 | 29.14 | 100 |
| 2.597 | 34.54 | 66 |
| 2.591 | 34.62 | 30 |
| 2.168 | 41.66 | 19 |
| 2.069 | 43.74 | 19 |
| 1.980 | 45.84 | 14 |
| 1.902 | 47.81 | 19 |
| 1.573 | 58.70 | 29 |
| 1.319 | 71.52 | 16 |